(1)
Structure and computed powder X-ray diffraction pattern of Rb2HgBr4 (a cell relaxed with GGA-PBE; Cu Kα (λ = 1.5418 Å)).
No peak broadening, texture or thermal motion is included.

```
Rb2HgBr4
1.0
7.773 0.000 0.000
0.000 7.759 0.000
-3.152 0.000 9.215
Rb Hg Br
4 2 8
Cartesian
1.470 0.000 0.448
0.262 0.021 5.252
4.359 3.901 3.962
3.151 3.880 8.767
-0.728 3.919 7.338
5.349 0.040 1.876
-0.770 5.766 2.448
-0.742 2.053 2.473
2.942 3.990 0.734
1.414 3.934 5.783
3.208 0.054 3.432
1.679 0.110 8.481
5.364 5.932 6.742
5.391 1.886 6.767
```

Principal peaks in the range 2θ = 10–80°, by angle:
12.74 deg, rel. 57
14.93 deg, rel. 87
22.92 deg, rel. 68
25.68 deg, rel. 56
25.95 deg, rel. 78
28.14 deg, rel. 94
28.41 deg, rel. 100
33.58 deg, rel. 64
36.92 deg, rel. 63
43.85 deg, rel. 50


(2)
Structure and computed powder X-ray diffraction pattern of Rb2HgSbBr6 (a cell relaxed with GGA-PBE; Cu Kα (λ = 1.5418 Å)).
No peak broadening, texture or thermal motion is included.

```
Rb2HgSbBr6
1.0
0.000 5.732 5.732
5.732 0.000 5.732
5.732 5.732 0.000
Rb Hg Sb Br
2 1 1 6
Cartesian
2.866 2.866 2.866
8.598 8.598 8.598
0.000 0.000 0.000
5.732 5.732 5.732
5.732 5.732 2.937
5.732 2.937 5.732
8.528 5.732 5.732
2.937 5.732 5.732
5.732 8.528 5.732
5.732 5.732 8.528
```

Principal peaks in the range 2θ = 10–80°, by angle:
15.46 deg, rel. 54
21.93 deg, rel. 54
26.94 deg, rel. 24
31.21 deg, rel. 100
35.00 deg, rel. 29
38.47 deg, rel. 25
44.72 deg, rel. 73
47.59 deg, rel. 15
55.54 deg, rel. 25
73.95 deg, rel. 32


(3)
Structure and computed powder X-ray diffraction pattern of TbHg3S4Br (a cell relaxed with GGA-PBE; Cu Kα (λ = 1.5418 Å)).
No peak broadening, texture or thermal motion is included.

```
TbHg3S4Br
1.0
7.959 0.000 0.000
-3.980 6.893 0.000
0.000 0.000 8.251
Tb Hg S Br
2 6 8 2
Cartesian
0.000 0.000 0.000
0.000 0.000 4.126
-1.904 3.496 1.441
1.904 3.496 1.441
0.000 6.794 1.441
3.980 0.099 5.567
2.075 3.397 5.567
5.884 3.397 5.567
0.000 1.946 6.132
-2.294 5.920 6.132
1.685 0.973 2.007
0.000 4.595 0.166
3.980 2.298 4.292
2.294 5.920 6.132
6.274 0.973 2.007
3.980 4.947 2.007
0.000 4.595 3.665
3.980 2.298 7.791
```

Principal peaks in the range 2θ = 10–80°, by angle:
21.54 deg, rel. 30
25.16 deg, rel. 28
25.85 deg, rel. 100
31.23 deg, rel. 59
33.89 deg, rel. 70
40.97 deg, rel. 23
45.17 deg, rel. 23
45.59 deg, rel. 45
50.95 deg, rel. 17
51.64 deg, rel. 21